[1]
# P
Calculated X-ray powder pattern, Cu Ka. Input: a crystal structure in the Materials Project, relaxed with GGA-PBE.

```
data_P
_chemical_formula_sum 'P1'
_symmetry_space_group_name_H-M 'P m -3 m'
_symmetry_Int_Tables_number 221
_symmetry_space_group_name_Hall '-P 4 2 3'
_cell_length_a 2.447
_cell_length_b 2.447
_cell_length_c 2.447
_cell_angle_alpha 90.00
_cell_angle_beta 90.00
_cell_angle_gamma 90.00
loop_
_atom_site_label
_atom_site_type_symbol
_atom_site_fract_x
_atom_site_fract_y
_atom_site_fract_z
_atom_site_occupancy
P1 P 0.000 0.000 0.000 1
```

Most intense lines, 10 to 90 degrees two-theta, by angle:
two_theta  I/Imax
36.7  100
52.9  64
66.1  22
78.1  10
89.6  31



[2]
# MgPHO9
Calculated X-ray powder pattern, Cu Ka. Input: a crystal structure in the Materials Project, relaxed with GGA-PBE.

```
data_MgPHO9
_chemical_formula_sum 'Mg3 P3 H3 O27'
_symmetry_space_group_name_H-M 'R 3'
_symmetry_Int_Tables_number 146
_symmetry_space_group_name_Hall 'R 3'
_cell_length_a 7.8079
_cell_length_b 7.8079
_cell_length_c 8.9186
_cell_angle_alpha 90.00
_cell_angle_beta 90.00
_cell_angle_gamma 120.00
loop_
_atom_site_label
_atom_site_type_symbol
_atom_site_fract_x
_atom_site_fract_y
_atom_site_fract_z
_atom_site_occupancy
Mg1 Mg 0.0000 0.0000 0.0000 1
P1 P 0.0000 0.0000 0.5389 1
H1 H 0.0000 0.0000 0.3805 1
O1 O 0.0694 0.4803 0.5211 1
O2 O 0.1613 0.7536 0.8159 1
O3 O 0.2129 0.0954 0.5935 1
```

Most intense lines, 10 to 90 degrees two-theta, by angle:
two_theta  I/Imax
16.5  11
22.8  21
23.9  41
28.2  30
30.1  27
33.3  100
46.5  10
48.9  12
53.0  16
54.6  14



[3]
# MgNi2Sb
Calculated X-ray powder pattern, Cu Ka. Input: a crystal structure in the Materials Project, relaxed with GGA-PBE.

```
data_MgNi2Sb
_chemical_formula_sum 'Mg4 Ni8 Sb4'
_symmetry_space_group_name_H-M 'F m -3 m'
_symmetry_Int_Tables_number 225
_symmetry_space_group_name_Hall '-F 4 2 3'
_cell_length_a 6.168
_cell_length_b 6.168
_cell_length_c 6.168
_cell_angle_alpha 90.00
_cell_angle_beta 90.00
_cell_angle_gamma 90.00
loop_
_atom_site_label
_atom_site_type_symbol
_atom_site_fract_x
_atom_site_fract_y
_atom_site_fract_z
_atom_site_occupancy
Mg1 Mg 0.000 0.000 0.000 1
Ni1 Ni 0.250 0.250 0.250 1
Sb1 Sb 0.000 0.000 0.500 1
```

Most intense lines, 10 to 90 degrees two-theta, by angle:
two_theta  I/Imax
25.0  30
41.4  100
49.0  15
60.0  16
66.0  6
75.5  31
81.0  5
90.0  10



[4]
# CsSbSe2
Calculated X-ray powder pattern, Cu Ka. Input: a crystal structure in the Materials Project, relaxed with GGA-PBE.

```
data_CsSbSe2
_chemical_formula_sum 'Cs4 Sb4 Se8'
_symmetry_space_group_name_H-M 'P 1 21/c 1'
_symmetry_Int_Tables_number 14
_symmetry_space_group_name_Hall '-P 2ybc'
_cell_length_a 8.071
_cell_length_b 10.264
_cell_length_c 7.590
_cell_angle_alpha 90.00
_cell_angle_beta 102.48
_cell_angle_gamma 90.00
loop_
_atom_site_label
_atom_site_type_symbol
_atom_site_fract_x
_atom_site_fract_y
_atom_site_fract_z
_atom_site_occupancy
Cs1 Cs 0.154 0.064 0.286 1
Sb1 Sb 0.411 0.665 0.365 1
Se1 Se 0.189 0.748 0.544 1
Se2 Se 0.324 0.075 0.803 1
```

Most intense lines, 10 to 90 degrees two-theta, by angle:
two_theta  I/Imax
21.1  37
24.8  100
28.4  87
29.2  51
29.7  42
29.9  45
30.1  65
30.6  38
39.7  32
41.5  32



[5]
# Gd4Ge3S12
Calculated X-ray powder pattern, Cu Ka. Input: a crystal structure in the Materials Project, relaxed with GGA-PBE.

```
data_Gd4Ge3S12
_chemical_formula_sum 'Gd24 Ge18 S72'
_symmetry_space_group_name_H-M 'R 3 c'
_symmetry_Int_Tables_number 161
_symmetry_space_group_name_Hall 'R 3 -2"c'
_cell_length_a 19.2305
_cell_length_b 19.2305
_cell_length_c 7.8741
_cell_angle_alpha 90.00
_cell_angle_beta 90.00
_cell_angle_gamma 120.00
loop_
_atom_site_label
_atom_site_type_symbol
_atom_site_fract_x
_atom_site_fract_y
_atom_site_fract_z
_atom_site_occupancy
Gd1 Gd 0.0000 0.0000 0.0000 1
Gd2 Gd 0.1059 0.4339 0.4596 1
Ge1 Ge 0.0123 0.1995 0.3426 1
S1 S 0.0031 0.2750 0.1379 1
S2 S 0.0436 0.4848 0.1755 1
S3 S 0.0586 0.1225 0.7511 1
S4 S 0.2017 0.0888 0.5034 1
```

Most intense lines, 10 to 90 degrees two-theta, by angle:
two_theta  I/Imax
18.0  30
24.5  100
25.9  20
26.7  43
32.7  38
35.3  29
35.5  18
36.6  20
37.2  23
37.4  27



[6]
# AlAgP2Se6
Calculated X-ray powder pattern, Cu Ka. Input: a crystal structure in the Materials Project, relaxed with GGA-PBE.

```
data_AlAgP2Se6
_chemical_formula_sum 'Al2 Ag2 P4 Se12'
_symmetry_space_group_name_H-M 'C 1 2 1'
_symmetry_Int_Tables_number 5
_symmetry_space_group_name_Hall 'C 2y'
_cell_length_a 6.427
_cell_length_b 11.141
_cell_length_c 7.386
_cell_angle_alpha 90.00
_cell_angle_beta 106.21
_cell_angle_gamma 90.00
loop_
_atom_site_label
_atom_site_type_symbol
_atom_site_fract_x
_atom_site_fract_y
_atom_site_fract_z
_atom_site_occupancy
Al1 Al 0.000 0.000 0.000 1
Ag1 Ag 0.000 0.334 0.000 1
P1 P 0.051 0.667 0.159 1
Se1 Se 0.214 0.844 0.244 1
Se2 Se 0.223 0.011 0.756 1
Se3 Se 0.244 0.146 0.243 1
```

Most intense lines, 10 to 90 degrees two-theta, by angle:
two_theta  I/Imax
12.5  48
25.1  32
28.1  21
28.9  12
29.1  23
32.5  100
32.7  45
43.9  15
44.3  31
49.1  41



[7]
# AgAsS2
Calculated X-ray powder pattern, Cu Ka. Input: a crystal structure in the Materials Project, relaxed with GGA-PBE.

```
data_AgAsS2
_chemical_formula_sum 'Ag18 As18 S36'
_symmetry_space_group_name_H-M 'R -3'
_symmetry_Int_Tables_number 148
_symmetry_space_group_name_Hall '-R 3'
_cell_length_a 13.9806
_cell_length_b 13.9806
_cell_length_c 9.7890
_cell_angle_alpha 90.00
_cell_angle_beta 90.00
_cell_angle_gamma 120.00
loop_
_atom_site_label
_atom_site_type_symbol
_atom_site_fract_x
_atom_site_fract_y
_atom_site_fract_z
_atom_site_occupancy
Ag1 Ag 0.0038 0.4151 0.3183 1
As1 As 0.0448 0.1664 0.2958 1
S1 S 0.0229 0.4398 0.8253 1
S2 S 0.0426 0.1629 0.8151 1
```

Most intense lines, 10 to 90 degrees two-theta, by angle:
two_theta  I/Imax
12.7  13
19.6  17
23.4  16
26.7  12
28.1  43
32.3  100
33.9  13
45.9  35
46.9  28
58.1  18



[8]
# SrMg6Bi
Calculated X-ray powder pattern, Cu Ka. Input: a crystal structure in the Materials Project, relaxed with GGA-PBE.

```
data_SrMg6Bi
_chemical_formula_sum 'Sr2 Mg12 Bi2'
_symmetry_space_group_name_H-M 'A m m 2'
_symmetry_Int_Tables_number 38
_symmetry_space_group_name_Hall 'A 2 -2'
_cell_length_a 5.454
_cell_length_b 6.525
_cell_length_c 12.120
_cell_angle_alpha 90.00
_cell_angle_beta 90.00
_cell_angle_gamma 90.00
loop_
_atom_site_label
_atom_site_type_symbol
_atom_site_fract_x
_atom_site_fract_y
_atom_site_fract_z
_atom_site_occupancy
Sr1 Sr 0.000 0.000 0.000 1
Mg1 Mg 0.000 0.248 0.248 1
Mg2 Mg 0.500 0.000 0.173 1
Mg3 Mg 0.500 0.000 0.668 1
Mg4 Mg 0.500 0.244 0.403 1
Bi1 Bi 0.000 0.000 0.492 1
```

Most intense lines, 10 to 90 degrees two-theta, by angle:
two_theta  I/Imax
14.6  65
15.4  30
16.3  57
21.9  63
22.5  24
31.1  40
32.8  37
33.8  56
35.3  100
45.9  28